1.
Calculated X-ray diffraction stick pattern
Compound: ThIn5Rh6
Radiation: CuKα
Structure: a crystal structure in Alexandria, relaxed with GGA-PBE
No peak broadening, texture or thermal motion is included.

Structure:
Cell lengths 4.5115, 13.5894, 7.0185 Å; angles 90.00, 90.00, 90.00 degrees
Space group Cmmm (No. 65)
Inequivalent atoms, fractional coordinates:
Th1 0.0000 0.0000 0.0000
In1 0.0000 0.0000 0.5000
In2 0.0000 0.3268 0.0000
In3 0.0000 0.3341 0.5000
Rh1 0.0000 0.1686 0.2582
Rh2 0.0000 0.5000 0.2598

Largest 10 diffraction maxima, by angle, 10° ≤ 2θ ≤ 90°:
| d_spacing | I/Imax |
| --- | --- |
| 2.363 | 100 |
| 2.265 | 22 |
| 2.256 | 22 |
| 1.755 | 10 |
| 1.598 | 15 |
| 1.387 | 9 |
| 1.385 | 9 |
| 1.326 | 15 |
| 1.322 | 15 |
| 1.182 | 10 |


2.
Calculated X-ray diffraction stick pattern
Compound: LiGa2I4
Radiation: CuKα
Structure: a crystal structure in Alexandria, relaxed with GGA-PBE
No peak broadening, texture or thermal motion is included.

Structure:
Cell lengths 8.3491, 8.3491, 7.8923 Å; angles 90.00, 90.00, 90.00 degrees
Space group I4/m (No. 87)
Inequivalent atoms, fractional coordinates:
Li1 0.0000 0.0000 0.0000
Ga1 0.0000 0.5000 0.2500
I1 0.1861 0.7064 0.0000

Largest 10 diffraction maxima, by angle, 10° ≤ 2θ ≤ 90°:
| d_spacing | I/Imax |
| --- | --- |
| 5.904 | 40 |
| 4.175 | 26 |
| 3.946 | 26 |
| 3.375 | 96 |
| 2.952 | 39 |
| 2.868 | 100 |
| 2.194 | 29 |
| 2.151 | 27 |
| 1.961 | 47 |
| 1.605 | 25 |


3.
Calculated X-ray diffraction stick pattern
Compound: Y2PaAl9
Radiation: CuKα
Structure: a crystal structure in Alexandria, relaxed with GGA-PBE
No peak broadening, texture or thermal motion is included.

Structure:
Cell lengths 5.5183, 5.5183, 26.4550 Å; angles 90.00, 90.00, 120.00 degrees
Space group R-3m (No. 166, hexagonal axes)
Inequivalent atoms, fractional coordinates:
Y1 0.0000 0.0000 0.1393
Pa1 0.0000 0.0000 0.0000
Al1 0.0000 0.0000 0.3345
Al2 0.0000 0.0000 0.5000
Al3 0.0056 0.5028 0.9174

Largest 10 diffraction maxima, by angle, 10° ≤ 2θ ≤ 90°:
| d_spacing | I/Imax |
| --- | --- |
| 4.703 | 82 |
| 4.495 | 33 |
| 4.409 | 23 |
| 2.964 | 73 |
| 2.759 | 73 |
| 2.719 | 58 |
| 2.380 | 47 |
| 2.339 | 100 |
| 1.630 | 26 |
| 1.498 | 25 |